LiMoP2O7: theoretical powder diffractogram (Cu Kα), based on a GGA+U-relaxed structure.
Peak positions follow from Bragg's law for the DFT cell and can differ from measured ones.

Largest 12 diffraction maxima, by angle, 2θ = 5–70°:
2theta  I/Imax
17.13  100
20.96  41
23.82  46
28.61  85
29.01  81
29.96  69
34.62  47
41.79  25
43.18  23
47.46  19
48.76  20
56.69  19

Atomic structure:
```
LiMoP2O7
1.0
3.357 -4.239 0.000
3.357 4.239 0.000
-1.044 0.000 4.476
Li Mo P O
1 1 2 7
direct
0.000 0.000 0.000 Li
0.626 0.374 0.000 Mo
0.084 0.505 0.588 P
0.495 0.916 0.412 P
0.227 0.773 0.500 O
0.273 0.378 0.746 O
0.398 0.093 0.211 O
0.622 0.727 0.254 O
0.673 0.057 0.710 O
0.907 0.602 0.789 O
0.943 0.327 0.290 O
```

***

LiMoP2O8: theoretical powder diffractogram (Cu Kα), based on a GGA+U-relaxed structure.
Peak positions follow from Bragg's law for the DFT cell and can differ from measured ones.

Largest 12 diffraction maxima, by angle, 2θ = 5–70°:
2theta  I/Imax
13.47  100
19.88  29
20.67  37
22.94  32
23.77  33
24.17  23
25.43  17
25.73  19
30.77  26
32.67  33
36.18  25
52.23  11

Atomic structure:
```
LiMoP2O8
1.0
4.997 0.000 0.000
0.000 17.222 0.000
-4.053 0.000 7.110
Li Mo P O
4 4 8 32
direct
0.210 0.112 0.006 Li
0.210 0.388 0.506 Li
0.790 0.612 0.494 Li
0.790 0.888 0.994 Li
0.302 0.630 0.998 Mo
0.302 0.870 0.498 Mo
0.698 0.130 0.502 Mo
0.698 0.370 0.002 Mo
0.025 0.038 0.282 P
0.025 0.462 0.782 P
0.383 0.212 0.744 P
0.383 0.288 0.244 P
0.617 0.712 0.756 P
0.617 0.788 0.256 P
0.975 0.538 0.218 P
0.975 0.962 0.718 P
0.035 0.553 0.800 O
0.035 0.564 0.406 O
0.035 0.936 0.906 O
0.035 0.947 0.300 O
0.057 0.199 0.563 O
0.057 0.301 0.063 O
0.235 0.567 0.176 O
0.235 0.933 0.676 O
0.335 0.069 0.450 O
0.335 0.431 0.950 O
0.376 0.688 0.820 O
0.376 0.812 0.320 O
0.425 0.169 0.912 O
0.425 0.331 0.412 O
0.426 0.198 0.279 O
0.426 0.302 0.779 O
0.574 0.698 0.221 O
0.574 0.802 0.721 O
0.575 0.669 0.588 O
0.575 0.831 0.088 O
0.624 0.188 0.680 O
0.624 0.312 0.180 O
0.665 0.569 0.050 O
0.665 0.931 0.550 O
0.765 0.067 0.324 O
0.765 0.433 0.824 O
0.943 0.699 0.937 O
0.943 0.801 0.437 O
0.965 0.053 0.700 O
0.965 0.064 0.094 O
0.965 0.436 0.594 O
0.965 0.447 0.200 O
```

***

Li3MoP2O8: theoretical powder diffractogram (Cu Kα), based on a GGA+U-relaxed structure.
Peak positions follow from Bragg's law for the DFT cell and can differ from measured ones.

Largest 12 diffraction maxima, by angle, 2θ = 5–70°:
2theta  I/Imax
14.19  78
19.13  17
23.90  100
25.53  54
32.20  31
34.64  75
35.86  37
38.75  25
41.54  15
43.60  17
48.91  25
62.88  34

Atomic structure:
```
Li3MoP2O8
1.0
6.242 0.000 0.000
0.000 5.560 0.000
0.000 0.000 8.415
Li Mo P O
6 2 4 16
direct
0.001 0.250 0.250 Li
0.219 0.750 0.082 Li
0.221 0.250 0.582 Li
0.779 0.750 0.418 Li
0.781 0.250 0.918 Li
0.999 0.750 0.750 Li
0.500 0.250 0.250 Mo
0.500 0.750 0.750 Mo
0.264 0.750 0.400 P
0.265 0.250 0.900 P
0.735 0.750 0.100 P
0.736 0.250 0.600 P
0.068 0.750 0.506 O
0.070 0.250 0.007 O
0.262 0.526 0.284 O
0.262 0.974 0.284 O
0.263 0.026 0.784 O
0.263 0.474 0.784 O
0.475 0.750 0.498 O
0.476 0.250 0.998 O
0.524 0.750 0.002 O
0.525 0.250 0.502 O
0.737 0.526 0.216 O
0.737 0.974 0.216 O
0.738 0.026 0.716 O
0.738 0.474 0.716 O
0.930 0.750 0.993 O
0.932 0.250 0.494 O
```

***

LiMo2P3O12: theoretical powder diffractogram (Cu Kα), based on a GGA+U-relaxed structure.
Peak positions follow from Bragg's law for the DFT cell and can differ from measured ones.

Largest 12 diffraction maxima, by angle, 2θ = 5–70°:
2theta  I/Imax
14.11  44
19.69  100
20.33  19
20.57  51
23.56  21
23.69  22
23.84  22
28.43  47
28.84  21
31.41  39
35.48  17
35.74  20

Atomic structure:
```
LiMo2P3O12
1.0
8.630 0.000 0.000
-4.221 7.541 0.000
-4.282 -2.531 7.519
Li Mo P O
2 4 6 24
direct
0.149 0.186 0.411 Li
0.851 0.814 0.589 Li
0.292 0.645 0.434 Mo
0.296 0.140 0.930 Mo
0.704 0.860 0.070 Mo
0.708 0.355 0.566 Mo
0.213 0.743 0.754 P
0.220 0.975 0.253 P
0.493 0.459 0.746 P
0.507 0.541 0.254 P
0.780 0.025 0.747 P
0.787 0.257 0.246 P
0.006 0.920 0.225 O
0.028 0.547 0.714 O
0.149 0.884 0.749 O
0.220 0.998 0.085 O
0.267 0.750 0.612 O
0.268 0.828 0.306 O
0.328 0.459 0.567 O
0.332 0.532 0.269 O
0.357 0.267 0.760 O
0.381 0.166 0.407 O
0.403 0.380 0.094 O
0.410 0.804 0.939 O
0.590 0.196 0.061 O
0.597 0.620 0.906 O
0.619 0.834 0.593 O
0.643 0.733 0.240 O
0.668 0.468 0.731 O
0.672 0.541 0.433 O
0.732 0.172 0.694 O
0.733 0.250 0.388 O
0.780 0.002 0.915 O
0.851 0.116 0.251 O
0.972 0.453 0.286 O
0.994 0.080 0.775 O
```

***

LiMoP2O8: theoretical powder diffractogram (Cu Kα), based on a GGA+U-relaxed structure.
Peak positions follow from Bragg's law for the DFT cell and can differ from measured ones.

Largest 12 diffraction maxima, by angle, 2θ = 5–70°:
2theta  I/Imax
10.90  88
16.09  43
17.06  100
22.71  74
23.25  42
25.30  27
26.62  21
27.92  41
29.19  28
30.26  15
33.07  17
35.87  13

Atomic structure:
```
LiMoP2O8
1.0
4.967 0.000 0.000
0.000 12.996 0.000
-3.306 0.000 10.396
Li Mo P O
4 4 8 32
direct
0.139 0.152 0.470 Li
0.139 0.348 0.970 Li
0.861 0.652 0.030 Li
0.861 0.848 0.530 Li
0.098 0.075 0.786 Mo
0.098 0.425 0.286 Mo
0.902 0.575 0.714 Mo
0.902 0.925 0.214 Mo
0.304 0.085 0.119 P
0.304 0.415 0.619 P
0.419 0.747 0.709 P
0.419 0.753 0.209 P
0.581 0.247 0.791 P
0.581 0.253 0.291 P
0.696 0.585 0.381 P
0.696 0.915 0.881 P
0.112 0.077 0.629 O
0.112 0.423 0.129 O
0.115 0.093 0.981 O
0.115 0.407 0.481 O
0.134 0.058 0.212 O
0.134 0.442 0.712 O
0.240 0.676 0.120 O
0.240 0.824 0.620 O
0.271 0.655 0.751 O
0.271 0.845 0.251 O
0.330 0.210 0.836 O
0.330 0.290 0.336 O
0.423 0.200 0.151 O
0.423 0.300 0.651 O
0.447 0.513 0.363 O
0.447 0.987 0.863 O
0.553 0.013 0.137 O
0.553 0.487 0.637 O
0.577 0.700 0.349 O
0.577 0.800 0.849 O
0.670 0.710 0.664 O
0.670 0.790 0.164 O
0.729 0.155 0.749 O
0.729 0.345 0.249 O
0.760 0.176 0.380 O
0.760 0.324 0.880 O
0.866 0.558 0.288 O
0.866 0.942 0.788 O
0.885 0.593 0.519 O
0.885 0.907 0.019 O
0.888 0.577 0.871 O
0.888 0.923 0.371 O
```

***

LiMoP2O7: theoretical powder diffractogram (Cu Kα), based on a GGA+U-relaxed structure.
Peak positions follow from Bragg's law for the DFT cell and can differ from measured ones.

Largest 12 diffraction maxima, by angle, 2θ = 5–70°:
2theta  I/Imax
17.18  100
17.41  13
19.16  9
22.40  30
28.01  36
28.72  59
29.28  35
34.58  13
34.75  25
41.24  15
42.25  16
45.71  10

Atomic structure:
```
LiMoP2O7
1.0
4.932 -4.243 0.000
4.932 4.243 0.000
-4.665 0.000 12.744
Li Mo P O
4 4 8 28
direct
0.024 0.243 0.154 Li
0.243 0.024 0.654 Li
0.757 0.976 0.346 Li
0.976 0.757 0.846 Li
0.127 0.604 0.361 Mo
0.396 0.873 0.139 Mo
0.604 0.127 0.861 Mo
0.873 0.396 0.639 Mo
0.097 0.247 0.865 P
0.247 0.097 0.365 P
0.333 0.412 0.572 P
0.412 0.333 0.072 P
0.588 0.667 0.928 P
0.667 0.588 0.428 P
0.753 0.903 0.635 P
0.903 0.753 0.135 P
0.014 0.580 0.194 O
0.056 0.892 0.118 O
0.099 0.270 0.315 O
0.108 0.944 0.382 O
0.195 0.324 0.626 O
0.211 0.383 0.977 O
0.217 0.598 0.523 O
0.270 0.099 0.815 O
0.324 0.195 0.126 O
0.383 0.211 0.477 O
0.402 0.783 0.977 O
0.420 0.986 0.306 O
0.450 0.542 0.357 O
0.458 0.550 0.143 O
0.542 0.450 0.857 O
0.550 0.458 0.643 O
0.580 0.014 0.694 O
0.598 0.217 0.023 O
0.617 0.789 0.523 O
0.676 0.805 0.874 O
0.730 0.901 0.185 O
0.783 0.402 0.477 O
0.789 0.617 0.023 O
0.805 0.676 0.374 O
0.892 0.056 0.618 O
0.901 0.730 0.685 O
0.944 0.108 0.882 O
0.986 0.420 0.806 O
```